Simulated powder diffraction line list of KV2P2H4O13 for Cu Ka, from DFT lattice parameters and positions (PBE+U).
Kinematic intensities with the Lorentz-polarization factor, no thermal factor.

Largest 8 diffraction maxima, sorted by position, 10 to 90 degrees two-theta:
| h k l | 2θ/deg | I (rel.) |
| --- | --- | --- |
| 0 0 1 | 13.2 | 100 |
| 0 1 -1 | 20.2 | 15 |
| 1 0 -1 | 21.4 | 25 |
| 0 0 2 | 26.6 | 15 |
| 0 2 0 | 28.4 | 20 |
| 2 0 0 | 28.9 | 16 |
| 2 0 1 | 29.4 | 33 |
| 0 2 1 | 30.3 | 25 |

Cell and atoms:
```
22
Lattice="6.299 0.000 0.000 0.030 6.321 0.000 1.333 0.596 6.704" Properties=species:S:1:pos:R:3 pbc="T T T"
K 0.000 0.000 0.000
V 2.281 1.841 2.668
V 5.381 5.076 4.036
P 2.269 5.038 3.363
P 5.393 1.879 3.341
H 1.226 2.534 0.204
H 4.157 2.636 6.583
H 3.504 4.281 0.121
H 6.435 4.383 6.500
O 0.015 3.160 0.000
O 1.017 5.055 4.275
O 2.289 1.789 4.288
O 2.252 6.232 2.370
O 2.328 3.776 2.477
O 2.085 1.919 0.501
O 3.477 5.122 4.340
O 4.184 1.795 2.364
O 5.576 4.999 6.203
O 5.333 3.141 4.228
O 5.409 0.685 4.334
O 5.372 5.129 2.416
O 6.644 1.862 2.429
```